Ba2Li5Hg5: computed powder X-ray diffraction pattern (a wavelength of 1.5418 Å), based on the GGA-PBE geometry in Alexandria.

Structure:
```
Ba2Li5Hg5
1.0
4.6988 0.0000 0.0000
0.0000 6.0149 0.0000
0.0000 0.0000 10.8779
Ba Li Hg
2 5 5
Cartesian
0.0000 0.0000 0.0000 Ba
0.0000 3.0075 5.4389 Ba
2.3494 0.0000 5.4389 Li
2.3494 1.4981 2.6788 Li
2.3494 1.4981 8.1991 Li
2.3494 4.5168 2.6788 Li
2.3494 4.5168 8.1991 Li
0.0000 0.0000 3.6071 Hg
0.0000 0.0000 7.2708 Hg
0.0000 3.0075 1.9957 Hg
0.0000 3.0075 8.8822 Hg
2.3494 3.0075 0.0000 Hg
```

Top 10 peaks for 2θ from 15° to 90°, sorted by position:
two_theta	Rel. int.
16.84	16
18.89	49
28.75	36
29.71	37
34.62	100
35.44	23
38.31	21
48.59	18
49.21	19
55.94	26